Diffraction record for Pm2Zn5Pd5. The powder X-ray diffraction pattern is simulated, not measured: it uses a PBE-relaxed structure and λ = 1.5418 Å (Cu Kα).
Neutral-atom scattering factors, no anomalous dispersion.

Principal peaks in the range 5 to 70 degrees two-theta, in order of falling intensity:
Position (°2θ), d (Å), Rel. int., h k l
39.44, 2.285, 100, 1 1 3
39.79, 2.266, 42, 1 2 0
41.40, 2.181, 38, 2 0 0
33.41, 2.682, 29, 0 1 3
64.27, 1.449, 23, 1 3 3
28.16, 3.168, 23, 1 1 1
33.81, 2.651, 18, 0 2 0
39.08, 2.305, 17, 0 2 2
44.46, 2.038, 15, 1 2 2
54.20, 1.692, 14, 2 1 3

Cell and atoms:
Lattice parameters (Å, degrees): 4.362 5.302 9.328 90.00 90.00 90.00
Space group Pmmm (No. 47)
One atom of each set of equivalent atoms:
Pm 0.000 0.000 0.000
Pm 0.000 0.500 0.500
Zn 0.500 0.000 0.500
Zn 0.500 0.250 0.249
Pd 0.000 0.000 0.333
Pd 0.000 0.500 0.179
Pd 0.500 0.500 0.000



Diffraction record for Pm2Zn9Pd6. The powder X-ray diffraction pattern is simulated, not measured: it uses a PBE-relaxed structure and λ = 1.5418 Å (Cu Kα).
Neutral-atom scattering factors, no anomalous dispersion.

Principal peaks in the range 5 to 70 degrees two-theta, in order of falling intensity:
Position (°2θ), d (Å), Rel. int., h k l
39.74, 2.268, 100, 1 1 3
33.36, 2.686, 32, 1 1 0
42.70, 2.118, 25, 0 0 6
44.43, 2.039, 24, 2 0 3
63.93, 1.456, 24, 3 0 3
19.08, 4.653, 15, 1 0 0
38.71, 2.326, 15, 2 0 0
55.24, 1.663, 15, 1 1 6
20.33, 4.369, 11, 1 0 1
6.96, 12.706, 11, 0 0 1

Cell and atoms:
Lattice parameters (Å, degrees): 5.3723 5.3723 12.7060 90.00 90.00 120.00
Space group P6/mmm (No. 191)
One atom of each set of equivalent atoms:
Pm 0.0000 0.0000 0.1635
Zn 0.0000 0.5000 0.0000
Zn 0.0000 0.5000 0.3389
Pd 0.3333 0.6667 0.1724
Pd 0.3333 0.6667 0.5000



Diffraction record for Pm4Zn5Pd3. The powder X-ray diffraction pattern is simulated, not measured: it uses a PBE-relaxed structure and λ = 1.5418 Å (Cu Kα).
Neutral-atom scattering factors, no anomalous dispersion.

Principal peaks in the range 5 to 70 degrees two-theta, in order of falling intensity:
Position (°2θ), d (Å), Rel. int., h k l
33.91, 2.643, 100, 3 1 1
28.40, 3.143, 85, 3 1 -1
39.01, 2.309, 74, 0 2 0
37.50, 2.398, 36, 2 0 3
29.72, 3.006, 36, 3 1 0
38.03, 2.366, 35, 1 1 3
35.55, 2.525, 35, 2 0 -4
26.15, 3.408, 30, 1 1 -2
26.77, 3.331, 29, 2 0 -3
41.45, 2.178, 28, 1 1 -4

Cell and atoms:
Lattice parameters (Å, degrees): 12.878 4.618 10.101 90.00 112.72 90.00
Space group C2/m (No. 12)
One atom of each set of equivalent atoms:
Pm 0.049 0.000 0.313
Pm 0.250 0.000 0.848
Zn 0.000 0.500 0.000
Zn 0.115 0.500 0.592
Zn 0.226 0.500 0.430
Pd 0.000 0.000 0.000
Pd 0.102 0.500 0.839



Diffraction record for Pm2Zn5Pd. The powder X-ray diffraction pattern is simulated, not measured: it uses a PBE-relaxed structure and λ = 1.5418 Å (Cu Kα).
Neutral-atom scattering factors, no anomalous dispersion.

Principal peaks in the range 5 to 70 degrees two-theta, in order of falling intensity:
Position (°2θ), d (Å), Rel. int., h k l
33.16, 2.702, 100, 1 3 2
34.50, 2.600, 65, 1 5 0
42.20, 2.142, 42, 2 0 0
36.85, 2.439, 40, 1 1 3
29.22, 3.056, 27, 1 1 2
66.55, 1.405, 20, 1 11 0
44.81, 2.023, 20, 0 6 3
39.83, 2.263, 19, 0 0 4
32.86, 2.726, 18, 0 6 0
68.10, 1.377, 16, 1 3 6

Cell and atoms:
Lattice parameters (Å, degrees): 4.283 16.355 9.052 90.00 90.00 90.00
Space group Cmcm (No. 63)
One atom of each set of equivalent atoms:
Pm 0.000 0.000 0.000
Pm 0.000 0.191 0.250
Zn 0.000 0.190 0.609
Zn 0.000 0.349 0.520
Zn 0.000 0.396 0.250
Pd 0.000 0.447 0.750